For CaCrPb, DFT lattice parameters and positions (PBE) gives the simulated X-ray powder pattern in this record (Cu Kα, 1.54184 Å).
Kinematic intensities with the Lorentz-polarization factor, no thermal factor.

The 8 most intense peaks (2θ = 10–90°), most intense first:
2θ 32.0, 2.800 Å, I 100
2θ 20.6, 4.309 Å, I 74
2θ 36.1, 2.488 Å, I 70
2θ 43.9, 2.062 Å, I 43
2θ 24.2, 3.684 Å, I 33
2θ 49.0, 1.860 Å, I 31
2θ 62.3, 1.490 Å, I 30
2θ 62.8, 1.480 Å, I 27

Lattice parameters (Å, degrees): 4.976 4.976 3.684 90.00 90.00 120.00
Atoms (fractional coordinates):
Ca: 0.000 0.000 0.000
Cr: 0.667 0.333 0.499
Pb: 0.333 0.667 0.501

For Ca4Cr2Pt, DFT lattice parameters and positions (PBE) gives the simulated X-ray powder pattern in this record (Cu Kα, 1.54184 Å).
Kinematic intensities with the Lorentz-polarization factor, no thermal factor.

The 8 most intense peaks (2θ = 10–90°), most intense first:
2θ 11.2, 7.872 Å, I 100
2θ 47.0, 1.935 Å, I 75
2θ 32.8, 2.730 Å, I 74
2θ 23.0, 3.874 Å, I 65
2θ 32.7, 2.739 Å, I 65
2θ 17.1, 5.174 Å, I 58
2θ 23.5, 3.790 Å, I 39
2θ 34.7, 2.587 Å, I 28

Lattice parameters (Å, degrees): 8.774 8.774 8.774 143.61 143.61 52.41
Atoms (fractional coordinates):
Ca: 0.000 0.500 0.500
Ca: 0.181 0.181 0.000
Ca: 0.500 0.000 0.500
Ca: 0.819 0.819 0.000
Cr: 0.385 0.385 0.000
Cr: 0.615 0.615 0.000
Pt: 0.000 0.000 0.000